Structure and theoretical powder X-ray diffraction pattern of Pr8Ho6Pb (a PBE-relaxed structure; Cu Kα).
Kinematic intensities with the Lorentz-polarization factor, no thermal factor.

Structural model:
Lattice parameters (Å, degrees): 9.3880 9.3880 6.6508 90.00 90.00 120.00
Space group P-3 (No. 147)
Symmetry-distinct sites (fractional):
Pr 0.0429 0.2758 0.1767 x6
Pr 0.3333 0.6667 0.1351 x2
Ho 0.0999 0.4476 0.6599 x6
Pb 0.0000 0.0000 0.5000 x1

Peak list (10 most intense, 5° ≤ 2θ ≤ 70°, low angle first)
Position (°2θ), I (rel.)
25.68, 22.9
29.04, 48.9
32.09, 100.0
33.02, 48.5
39.95, 11.3
42.29, 11.7
50.82, 18.8
51.51, 17.7
58.39, 12.2
61.97, 18.4